This entry pairs a crystal structure of CaSm6Tm3 with its calculated powder X-ray diffraction pattern. Radiation: Cu Kα X-rays. Structure: the GGA-PBE geometry in Alexandria.
Lines closer than 0.1° are merged.

Crystal structure
```
data_CaSm6Tm3
_symmetry_space_group_name_H-M 'P 1 21/m 1'
_symmetry_Int_Tables_number 11
_cell_length_a 12.354
_cell_length_b 3.628
_cell_length_c 15.535
_cell_angle_alpha 90.00
_cell_angle_beta 103.70
_cell_angle_gamma 90.00
loop_
_symmetry_equiv_pos_as_xyz
'x,y,z'
'-x,-y,-z'
'-x,y+1/2,-z'
'x,-y+1/2,z'
loop_
_atom_site_label
_atom_site_fract_x
_atom_site_fract_y
_atom_site_fract_z
Ca1 0.130 0.250 0.049
Sm1 0.062 0.250 0.421
Sm2 0.109 0.750 0.817
Sm3 0.170 0.750 0.267
Sm4 0.312 0.750 0.501
Sm5 0.370 0.250 0.949
Sm6 0.388 0.750 0.154
Tm1 0.177 0.250 0.641
Tm2 0.377 0.750 0.766
Tm3 0.424 0.250 0.352
```

Top 10 peaks for 10 to 90 degrees two-theta, most intense first:
29.80°, I 100, hkl 2 0 -5
32.31°, I 58, hkl 1 1 3
33.57°, I 42, hkl 3 1 -2
36.34°, I 42, hkl 2 0 5
29.03°, I 37, hkl 1 1 2
59.57°, I 30, hkl 2 2 -5
28.64°, I 28, hkl 2 1 -1
27.60°, I 23, hkl 3 0 2
35.27°, I 23, hkl 3 1 -3
50.30°, I 20, hkl 0 2 0

This entry pairs a crystal structure of CaSm5Tm3 with its calculated powder X-ray diffraction pattern. Radiation: Cu Kα X-rays. Structure: the GGA-PBE geometry in Alexandria.
Lines closer than 0.1° are merged.

Crystal structure
```
data_CaSm5Tm3
_symmetry_space_group_name_H-M 'C m c m'
_symmetry_Int_Tables_number 63
_symmetry_space_group_name_Hall '-C 2c 2'
_cell_length_a 17.085
_cell_length_b 9.857
_cell_length_c 7.031
_cell_angle_alpha 90.00
_cell_angle_beta 90.00
_cell_angle_gamma 90.00
loop_
_atom_site_label
_atom_site_fract_x
_atom_site_fract_y
_atom_site_fract_z
Ca1 0.000 0.189 0.250
Sm1 0.000 0.152 0.750
Sm2 0.153 0.352 0.750
Sm3 0.184 0.319 0.250
Tm1 0.000 0.500 0.000
Tm2 0.168 0.000 0.000
```

Top 10 peaks for 10 to 90 degrees two-theta, most intense first:
31.25°, I 100, hkl 3 1 2
31.43°, I 93, hkl 3 3 0
44.91°, I 34, hkl 0 4 2
55.84°, I 33, hkl 6 4 2
62.06°, I 27, hkl 3 3 4
55.95°, I 14, hkl 0 6 0
30.47°, I 12, hkl 4 2 1
74.45°, I 12, hkl 3 7 2
79.91°, I 10, hkl 0 6 4
52.03°, I 9, hkl 0 0 4

This entry pairs a crystal structure of CaSm4Y8 with its calculated powder X-ray diffraction pattern. Radiation: Cu Kα X-rays. Structure: the GGA-PBE geometry in Alexandria.
Lines closer than 0.1° are merged.

Crystal structure
```
data_CaSm4Y8
_symmetry_space_group_name_H-M 'P m -3 m'
_symmetry_Int_Tables_number 221
_symmetry_space_group_name_Hall '-P 4 2 3'
_cell_length_a 7.874
_cell_length_b 7.874
_cell_length_c 7.874
_cell_angle_alpha 90.00
_cell_angle_beta 90.00
_cell_angle_gamma 90.00
loop_
_atom_site_label
_atom_site_fract_x
_atom_site_fract_y
_atom_site_fract_z
Ca1 0.000 0.000 0.000
Sm1 0.000 0.000 0.500
Sm2 0.500 0.500 0.500
Y1 0.261 0.261 0.261
```

Top 10 peaks for 10 to 90 degrees two-theta, most intense first:
32.15°, I 100, hkl 2 2 0
19.53°, I 39, hkl 1 1 1
57.32°, I 36, hkl 4 2 2
37.90°, I 22, hkl 3 1 1
46.11°, I 18, hkl 4 0 0
76.51°, I 14, hkl 6 2 0
67.26°, I 11, hkl 4 4 0
50.52°, I 10, hkl 3 3 1
61.16°, I 7, hkl 5 1 1
70.79°, I 7, hkl 5 3 1

This entry pairs a crystal structure of Ca2Sm4Y with its calculated powder X-ray diffraction pattern. Radiation: Cu Kα X-rays. Structure: the GGA-PBE geometry in Alexandria.
Lines closer than 0.1° are merged.

Crystal structure
```
data_Ca2Sm4Y
_symmetry_space_group_name_H-M 'I m m m'
_symmetry_Int_Tables_number 71
_symmetry_space_group_name_Hall '-I 2 2'
_cell_length_a 3.577
_cell_length_b 5.891
_cell_length_c 23.709
_cell_angle_alpha 90.00
_cell_angle_beta 90.00
_cell_angle_gamma 90.00
loop_
_atom_site_label
_atom_site_fract_x
_atom_site_fract_y
_atom_site_fract_z
Ca1 0.000 0.000 0.221
Sm1 0.000 0.500 0.130
Sm2 0.000 0.500 0.419
Y1 0.000 0.000 0.500
```

Top 10 peaks for 10 to 90 degrees two-theta, most intense first:
30.41°, I 100, hkl 0 2 0
32.96°, I 69, hkl 1 1 4
60.61°, I 29, hkl 2 2 0
29.21°, I 25, hkl 1 1 0
14.95°, I 25, hkl 0 0 4
27.37°, I 24, hkl 1 0 3
59.05°, I 17, hkl 1 2 11
41.32°, I 16, hkl 1 2 3
55.60°, I 15, hkl 1 3 4
49.36°, I 15, hkl 1 0 11

This entry pairs a crystal structure of CaSm12Y7 with its calculated powder X-ray diffraction pattern. Radiation: Cu Kα X-rays. Structure: the GGA-PBE geometry in Alexandria.
Lines closer than 0.1° are merged.

Crystal structure
```
data_CaSm12Y7
_symmetry_space_group_name_H-M 'I m -3 m'
_symmetry_Int_Tables_number 229
_symmetry_space_group_name_Hall '-I 4 2 3'
_cell_length_a 11.539
_cell_length_b 11.539
_cell_length_c 11.539
_cell_angle_alpha 90.00
_cell_angle_beta 90.00
_cell_angle_gamma 90.00
loop_
_atom_site_label
_atom_site_fract_x
_atom_site_fract_y
_atom_site_fract_z
Ca1 0.000 0.000 0.000
Sm1 0.000 0.259 0.259
Y1 0.000 0.000 0.500
Y2 0.250 0.250 0.250
```

Top 10 peaks for 10 to 90 degrees two-theta, most intense first:
31.00°, I 100, hkl 4 0 0
26.76°, I 97, hkl 2 2 2
44.41°, I 72, hkl 4 4 0
52.61°, I 42, hkl 6 2 2
15.36°, I 37, hkl 2 0 0
73.39°, I 29, hkl 8 4 0
55.14°, I 24, hkl 4 4 4
81.78°, I 21, hkl 8 4 4
34.77°, I 20, hkl 4 2 0
71.24°, I 15, hkl 6 6 2

This entry pairs a crystal structure of CaSm7Y3 with its calculated powder X-ray diffraction pattern. Radiation: Cu Kα X-rays. Structure: the GGA-PBE geometry in Alexandria.
Lines closer than 0.1° are merged.

Crystal structure
```
data_CaSm7Y3
_symmetry_space_group_name_H-M 'P 3 m 1'
_symmetry_Int_Tables_number 156
_cell_length_a 7.1988
_cell_length_b 7.1988
_cell_length_c 8.7588
_cell_angle_alpha 90.00
_cell_angle_beta 90.00
_cell_angle_gamma 120.00
loop_
_symmetry_equiv_pos_as_xyz
'x,y,z'
'-y,x-y,z'
'-x+y,-x,z'
'-y,-x,z'
'-x+y,y,z'
'x,x-y,z'
loop_
_atom_site_label
_atom_site_fract_x
_atom_site_fract_y
_atom_site_fract_z
Ca1 0.0000 0.0000 0.0000
Sm1 0.0043 0.5022 0.9944
Sm2 0.3333 0.6667 0.3205
Sm3 0.3373 0.1687 0.3356
Y1 0.1690 0.3380 0.6571
```

Top 10 peaks for 10 to 90 degrees two-theta, most intense first:
30.44°, I 100, hkl 2 0 1
35.34°, I 66, hkl 0 2 2
30.62°, I 31, hkl 0 0 3
60.42°, I 26, hkl 2 2 3
50.97°, I 23, hkl 2 0 4
50.73°, I 23, hkl 2 2 0
10.10°, I 17, hkl 0 0 1
60.32°, I 14, hkl 0 4 1
60.64°, I 13, hkl 0 2 5
63.34°, I 12, hkl 4 0 2

This entry pairs a crystal structure of CaSm7Y4 with its calculated powder X-ray diffraction pattern. Radiation: Cu Kα X-rays. Structure: the GGA-PBE geometry in Alexandria.
Lines closer than 0.1° are merged.

Crystal structure
```
data_CaSm7Y4
_symmetry_space_group_name_H-M 'P -1'
_symmetry_Int_Tables_number 2
_cell_length_a 6.329
_cell_length_b 7.311
_cell_length_c 9.015
_cell_angle_alpha 89.94
_cell_angle_beta 76.53
_cell_angle_gamma 89.99
loop_
_symmetry_equiv_pos_as_xyz
'x,y,z'
'-x,-y,-z'
loop_
_atom_site_label
_atom_site_fract_x
_atom_site_fract_y
_atom_site_fract_z
Ca1 0.000 0.000 0.000
Sm1 0.000 0.500 0.000
Sm2 0.225 0.000 0.340
Sm3 0.281 0.253 0.662
Sm4 0.500 0.258 0.999
Y1 0.220 0.499 0.332
Y2 0.283 0.746 0.663
```

Top 10 peaks for 10 to 90 degrees two-theta, most intense first:
31.37°, I 100, hkl 2 0 2
33.03°, I 95, hkl 2 0 -1
30.59°, I 52, hkl 0 0 3
59.68°, I 45, hkl 3 2 -2
28.40°, I 39, hkl 1 2 0
49.90°, I 39, hkl 3 2 1
57.01°, I 21, hkl 2 0 -4
53.78°, I 20, hkl 2 0 5
61.15°, I 16, hkl 2 4 -1
60.14°, I 15, hkl 2 4 2

This entry pairs a crystal structure of CaSm12Y5 with its calculated powder X-ray diffraction pattern. Radiation: Cu Kα X-rays. Structure: the GGA-PBE geometry in Alexandria.
Lines closer than 0.1° are merged.

Crystal structure
```
data_CaSm12Y5
_symmetry_space_group_name_H-M 'P 1 2/m 1'
_symmetry_Int_Tables_number 10
_cell_length_a 10.867
_cell_length_b 5.132
_cell_length_c 10.881
_cell_angle_alpha 90.00
_cell_angle_beta 90.18
_cell_angle_gamma 90.00
loop_
_symmetry_equiv_pos_as_xyz
'x,y,z'
'-x,-y,-z'
'-x,y,-z'
'x,-y,z'
loop_
_atom_site_label
_atom_site_fract_x
_atom_site_fract_y
_atom_site_fract_z
Ca1 0.000 0.000 0.000
Sm1 0.000 0.000 0.338
Sm2 0.167 0.500 0.500
Sm3 0.172 0.500 0.172
Sm4 0.333 0.000 0.333
Sm5 0.338 0.000 0.000
Sm6 0.500 0.500 0.167
Y1 0.172 0.500 0.828
Y2 0.334 0.000 0.666
Y3 0.500 0.500 0.500
```

Top 10 peaks for 10 to 90 degrees two-theta, most intense first:
30.19°, I 100, hkl 3 1 0
34.96°, I 34, hkl 0 2 0
50.32°, I 30, hkl 3 2 -3
59.77°, I 28, hkl 3 3 0
35.07°, I 17, hkl 3 0 3
59.91°, I 14, hkl 6 1 3
62.77°, I 12, hkl 6 2 0
81.82°, I 9, hkl 6 3 -3
81.95°, I 8, hkl 6 3 3
11.53°, I 8, hkl 1 0 1

This entry pairs a crystal structure of CaSm5Y2 with its calculated powder X-ray diffraction pattern. Radiation: Cu Kα X-rays. Structure: the GGA-PBE geometry in Alexandria.
Lines closer than 0.1° are merged.

Crystal structure
```
data_CaSm5Y2
_symmetry_space_group_name_H-M 'I m m m'
_symmetry_Int_Tables_number 71
_symmetry_space_group_name_Hall '-I 2 2'
_cell_length_a 3.630
_cell_length_b 11.460
_cell_length_c 13.324
_cell_angle_alpha 90.00
_cell_angle_beta 90.00
_cell_angle_gamma 90.00
loop_
_atom_site_label
_atom_site_fract_x
_atom_site_fract_y
_atom_site_fract_z
Ca1 0.000 0.000 0.000
Sm1 0.000 0.225 0.366
Sm2 0.000 0.500 0.000
Y1 0.000 0.500 0.258
```

Top 10 peaks for 10 to 90 degrees two-theta, most intense first:
31.05°, I 100, hkl 0 2 4
29.90°, I 81, hkl 1 2 1
31.84°, I 55, hkl 1 0 3
31.22°, I 43, hkl 0 4 0
60.31°, I 42, hkl 2 2 4
10.18°, I 37, hkl 0 1 1
45.19°, I 32, hkl 1 4 3
54.79°, I 31, hkl 1 5 4
34.07°, I 29, hkl 1 3 0
56.94°, I 26, hkl 1 2 7

This entry pairs a crystal structure of Ca4SmZn5 with its calculated powder X-ray diffraction pattern. Radiation: Cu Kα X-rays. Structure: the GGA-PBE geometry in Alexandria.
Lines closer than 0.1° are merged.

Crystal structure
```
data_Ca4SmZn5
_symmetry_space_group_name_H-M 'P 4/m m m'
_symmetry_Int_Tables_number 123
_symmetry_space_group_name_Hall '-P 4 2'
_cell_length_a 3.670
_cell_length_b 3.670
_cell_length_c 18.375
_cell_angle_alpha 90.00
_cell_angle_beta 90.00
_cell_angle_gamma 90.00
loop_
_atom_site_label
_atom_site_fract_x
_atom_site_fract_y
_atom_site_fract_z
Ca1 0.000 0.000 0.101
Ca2 0.000 0.000 0.301
Sm1 0.000 0.000 0.500
Zn1 0.500 0.500 0.000
Zn2 0.500 0.500 0.201
Zn3 0.500 0.500 0.404
```

Top 10 peaks for 10 to 90 degrees two-theta, most intense first:
34.55°, I 100, hkl 1 1 0
61.90°, I 34, hkl 2 1 5
49.66°, I 17, hkl 2 0 0
72.87°, I 10, hkl 2 2 0
83.25°, I 9, hkl 3 1 0
83.13°, I 5, hkl 1 0 15
14.46°, I 4, hkl 0 0 3
24.74°, I 4, hkl 1 0 1
26.15°, I 3, hkl 1 0 2
28.35°, I 2, hkl 1 0 3

This entry pairs a crystal structure of Ca2SmZn9 with its calculated powder X-ray diffraction pattern. Radiation: Cu Kα X-rays. Structure: the GGA-PBE geometry in Alexandria.
Lines closer than 0.1° are merged.

Crystal structure
```
data_Ca2SmZn9
_symmetry_space_group_name_H-M 'R -3 m'
_symmetry_Int_Tables_number 166
_symmetry_space_group_name_Hall '-R 3 2"'
_cell_length_a 5.5117
_cell_length_b 5.5117
_cell_length_c 25.8414
_cell_angle_alpha 90.00
_cell_angle_beta 90.00
_cell_angle_gamma 120.00
loop_
_atom_site_label
_atom_site_fract_x
_atom_site_fract_y
_atom_site_fract_z
Ca1 0.0000 0.0000 0.1423
Sm1 0.0000 0.0000 0.0000
Zn1 0.0000 0.0000 0.3351
Zn2 0.0000 0.0000 0.5000
Zn3 0.0063 0.5032 0.9184
```

Top 10 peaks for 10 to 90 degrees two-theta, most intense first:
38.79°, I 100, hkl 1 1 6
37.86°, I 32, hkl 0 2 1
10.27°, I 30, hkl 0 0 3
41.95°, I 25, hkl 0 0 12
32.49°, I 25, hkl 1 1 0
62.20°, I 24, hkl 3 0 6
33.50°, I 23, hkl 0 1 8
68.04°, I 22, hkl 2 2 0
38.35°, I 21, hkl 2 0 2
83.24°, I 19, hkl 2 2 12

This entry pairs a crystal structure of CaSn with its calculated powder X-ray diffraction pattern. Radiation: Cu Kα X-rays. Structure: the GGA-PBE geometry in Alexandria.
Lines closer than 0.1° are merged.

Crystal structure
```
data_CaSn
_symmetry_space_group_name_H-M 'P m m n'
_symmetry_Int_Tables_number 59
_cell_length_a 3.873
_cell_length_b 17.181
_cell_length_c 5.308
_cell_angle_alpha 90.00
_cell_angle_beta 90.00
_cell_angle_gamma 90.00
loop_
_symmetry_equiv_pos_as_xyz
'x,y,z'
'-x,-y,-z'
'-x+1/2,-y+1/2,z'
'x+1/2,y+1/2,-z'
'x+1/2,-y,-z'
'-x+1/2,y,z'
'-x,y+1/2,-z'
'x,-y+1/2,z'
loop_
_atom_site_label
_atom_site_fract_x
_atom_site_fract_y
_atom_site_fract_z
Ca1 0.250 0.092 0.042
Ca2 0.250 0.250 0.509
Sn1 0.250 0.568 0.452
Sn2 0.250 0.750 0.000
```

Top 10 peaks for 10 to 90 degrees two-theta, most intense first:
32.61°, I 100, hkl 1 3 1
19.66°, I 30, hkl 0 2 1
31.24°, I 26, hkl 0 6 0
33.77°, I 20, hkl 0 0 2
56.47°, I 14, hkl 1 9 1
46.66°, I 13, hkl 0 6 2
34.91°, I 13, hkl 1 5 0
59.68°, I 11, hkl 1 3 3
46.92°, I 10, hkl 2 0 0
57.45°, I 9, hkl 2 6 0